No. 1
For BC7, the GGA-PBE geometry in the Materials Project gives the simulated powder X-ray diffraction pattern in this record (CuKα).
Kinematic intensities with the Lorentz-polarization factor, no thermal factor.

Structure:
```
BC7
1.0
2.5184 0.0000 0.0000
0.0000 2.5184 0.0000
0.0000 0.0000 7.4943
B C
1 7
direct
0.0000 0.0000 0.0000 B
0.0000 0.0000 0.5000 C
0.0000 0.5000 0.1423 C
0.0000 0.5000 0.6191 C
0.5000 0.0000 0.3809 C
0.5000 0.0000 0.8577 C
0.5000 0.5000 0.2579 C
0.5000 0.5000 0.7421 C
```

Largest 7 diffraction maxima, by intensity, 15° ≤ 2θ ≤ 90°:
2θ (°)	Rel. int.
43.29	1000
73.35	256
75.50	125
87.09	76
23.75	17
51.53	12
84.49	9



No. 2
For BC7, the GGA-PBE geometry in the Materials Project gives the simulated powder X-ray diffraction pattern in this record (CuKα).
Kinematic intensities with the Lorentz-polarization factor, no thermal factor.

Structure:
```
BC7
1.0
3.6202 0.0000 0.0000
0.0000 3.6202 0.0000
0.0000 0.0000 3.6202
B C
1 7
direct
0.0000 0.0000 0.0000 B
0.0000 0.5000 0.5000 C
0.2548 0.2548 0.2548 C
0.2548 0.7452 0.7452 C
0.5000 0.0000 0.5000 C
0.5000 0.5000 0.0000 C
0.7452 0.2548 0.7452 C
0.7452 0.7452 0.2548 C
```

Largest 5 diffraction maxima, by intensity, 15° ≤ 2θ ≤ 90°:
2θ (°)	Rel. int.
43.29	1000
74.07	390
89.87	244
24.59	22
35.05	6



No. 3
For CaB2C2, the GGA-PBE geometry in the Materials Project gives the simulated powder X-ray diffraction pattern in this record (CuKα).
Kinematic intensities with the Lorentz-polarization factor, no thermal factor.

Structure:
```
CaB2C2
1.0
-2.6828 2.6828 3.7200
2.6828 -2.6828 3.7200
2.6828 2.6828 -3.7200
Ca B C
2 4 4
direct
0.2500 0.2500 0.0000 Ca
0.7500 0.7500 0.0000 Ca
0.1389 0.6389 0.7779 B
0.3611 0.1389 0.5000 B
0.6389 0.8611 0.5000 B
0.8611 0.3611 0.2221 B
0.1593 0.3407 0.5000 C
0.3407 0.8407 0.1814 C
0.6593 0.1593 0.8186 C
0.8407 0.6593 0.5000 C
```

Largest 12 diffraction maxima, by intensity, 15° ≤ 2θ ≤ 90°:
2θ (°)	Rel. int.
33.74	1000
41.50	498
23.45	337
54.05	268
75.90	174
33.40	155
48.97	147
47.96	117
75.31	113
54.28	110
80.16	103
54.98	69



No. 4
For CaB2C2, the GGA-PBE geometry in the Materials Project gives the simulated powder X-ray diffraction pattern in this record (CuKα).
Kinematic intensities with the Lorentz-polarization factor, no thermal factor.

Structure:
```
CaB2C2
1.0
3.7896 0.0000 0.0000
0.0000 3.7896 0.0000
0.0000 0.0000 7.6187
Ca B C
2 4 4
direct
0.0000 0.0000 0.2500 Ca
0.0000 0.0000 0.7500 Ca
0.2202 0.5000 0.0000 B
0.5000 0.2202 0.5000 B
0.5000 0.7798 0.5000 B
0.7798 0.5000 0.0000 B
0.1839 0.5000 0.5000 C
0.5000 0.1839 0.0000 C
0.5000 0.8161 0.0000 C
0.8161 0.5000 0.5000 C
```

Largest 12 diffraction maxima, by intensity, 15° ≤ 2θ ≤ 90°:
2θ (°)	Rel. int.
33.36	1000
41.19	425
54.10	318
23.47	280
75.02	151
47.75	135
80.04	130
75.17	98
48.02	97
53.87	61
59.72	56
70.04	55



No. 5
For Ca5BC4Cl3, the GGA-PBE geometry in the Materials Project gives the simulated powder X-ray diffraction pattern in this record (CuKα).
Kinematic intensities with the Lorentz-polarization factor, no thermal factor.

Structure:
```
Ca5BC4Cl3
1.0
1.9428 -7.0297 0.0000
1.9428 7.0297 0.0000
0.0000 0.0000 18.6890
Ca B C Cl
10 2 8 6
direct
0.0548 0.9452 0.6411 Ca
0.0548 0.9452 0.8589 Ca
0.1560 0.8440 0.2500 Ca
0.3629 0.6371 0.5626 Ca
0.3629 0.6371 0.9374 Ca
0.6371 0.3629 0.0626 Ca
0.6371 0.3629 0.4374 Ca
0.8440 0.1560 0.7500 Ca
0.9452 0.0548 0.1411 Ca
0.9452 0.0548 0.3589 Ca
0.4656 0.5344 0.7500 B
0.5344 0.4656 0.2500 B
0.0418 0.9582 0.0117 C
0.0418 0.9582 0.4883 C
0.4504 0.5496 0.6732 C
0.4504 0.5496 0.8268 C
0.5496 0.4504 0.1732 C
0.5496 0.4504 0.3268 C
0.9582 0.0418 0.5117 C
0.9582 0.0418 0.9883 C
0.1938 0.8062 0.7500 Cl
0.2842 0.7158 0.0854 Cl
0.2842 0.7158 0.4146 Cl
0.7158 0.2842 0.5854 Cl
0.7158 0.2842 0.9146 Cl
0.8062 0.1938 0.2500 Cl
```

Largest 12 diffraction maxima, by intensity, 15° ≤ 2θ ≤ 90°:
2θ (°)	Rel. int.
31.41	1000
33.22	425
46.73	381
27.02	288
35.64	241
45.77	241
30.26	237
38.73	124
42.24	124
28.66	122
25.62	119
57.42	103



No. 6
For Ca5BC4Cl3, the GGA-PBE geometry in the Materials Project gives the simulated powder X-ray diffraction pattern in this record (CuKα).
Kinematic intensities with the Lorentz-polarization factor, no thermal factor.

Structure:
```
Ca5BC4Cl3
1.0
1.9400 -7.0194 0.0000
1.9400 7.0194 0.0000
-0.5423 0.0000 18.7423
Ca B C Cl
10 2 8 6
direct
0.0515 0.9440 0.1411 Ca
0.0560 0.9485 0.3589 Ca
0.1558 0.8442 0.7500 Ca
0.3398 0.6137 0.0633 Ca
0.3863 0.6602 0.4367 Ca
0.6137 0.3398 0.5633 Ca
0.6602 0.3863 0.9367 Ca
0.8442 0.1558 0.2500 Ca
0.9440 0.0515 0.6411 Ca
0.9485 0.0560 0.8589 Ca
0.4655 0.5345 0.2500 B
0.5345 0.4655 0.7500 B
0.0102 0.0878 0.4871 C
0.0878 0.0102 0.9871 C
0.4495 0.5497 0.1735 C
0.4503 0.5505 0.3265 C
0.5497 0.4495 0.6735 C
0.5505 0.4503 0.8265 C
0.9122 0.9898 0.0129 C
0.9898 0.9122 0.5129 C
0.1933 0.8067 0.2500 Cl
0.2829 0.7145 0.5850 Cl
0.2855 0.7171 0.9150 Cl
0.7145 0.2829 0.0850 Cl
0.7171 0.2855 0.4150 Cl
0.8067 0.1933 0.7500 Cl
```

Largest 12 diffraction maxima, by intensity, 15° ≤ 2θ ≤ 90°:
2θ (°)	Rel. int.
31.34	1000
31.65	878
26.97	731
31.23	730
46.85	558
33.55	557
32.96	544
46.32	488
35.28	408
28.58	335
38.79	329
30.20	328



No. 7
For Ca3BCNCl2, the GGA-PBE geometry in the Materials Project gives the simulated powder X-ray diffraction pattern in this record (CuKα).
Kinematic intensities with the Lorentz-polarization factor, no thermal factor.

Structure:
```
Ca3BCNCl2
1.0
13.9030 0.0000 0.0000
0.0000 3.8512 0.0000
0.0000 0.0000 11.2365
Ca B C N Cl
12 4 4 4 8
direct
0.1041 0.2500 0.1380 Ca
0.1368 0.7500 0.4318 Ca
0.1867 0.7500 0.7993 Ca
0.3133 0.2500 0.2993 Ca
0.3632 0.2500 0.9318 Ca
0.3959 0.7500 0.6380 Ca
0.6041 0.2500 0.3620 Ca
0.6368 0.7500 0.0682 Ca
0.6867 0.7500 0.7007 Ca
0.8133 0.2500 0.2007 Ca
0.8632 0.2500 0.5682 Ca
0.8959 0.7500 0.8620 Ca
0.2435 0.7500 0.1028 B
0.2565 0.2500 0.6028 B
0.7435 0.7500 0.3972 B
0.7565 0.2500 0.8972 B
0.2064 0.7500 0.2227 C
0.2936 0.2500 0.7227 C
0.7064 0.7500 0.2773 C
0.7936 0.2500 0.7773 C
0.2300 0.2500 0.4859 N
0.2700 0.7500 0.9859 N
0.7300 0.2500 0.0141 N
0.7700 0.7500 0.5141 N
0.0119 0.7500 0.6400 Cl
0.0534 0.2500 0.8940 Cl
0.4466 0.7500 0.3940 Cl
0.4881 0.2500 0.1400 Cl
0.5119 0.7500 0.8600 Cl
0.5534 0.2500 0.6060 Cl
0.9466 0.7500 0.1060 Cl
0.9881 0.2500 0.3600 Cl
```

Largest 12 diffraction maxima, by intensity, 15° ≤ 2θ ≤ 90°:
2θ (°)	Rel. int.
31.23	1000
34.22	989
47.23	579
30.69	398
34.77	394
34.43	298
48.64	252
27.04	201
24.43	191
39.72	179
43.24	164
31.86	162



No. 8
For Ca4MgB4H6C2O18, the GGA-PBE geometry in the Materials Project gives the simulated powder X-ray diffraction pattern in this record (CuKα).
Kinematic intensities with the Lorentz-polarization factor, no thermal factor.

Structure:
```
Ca4MgB4H6C2O18
1.0
8.9638 -4.3554 0.0000
8.9638 4.3554 0.0000
-0.9395 0.0000 4.4258
Ca Mg B H C O
4 1 4 6 2 18
direct
0.0748 0.6134 0.8415 Ca
0.3866 0.9252 0.1585 Ca
0.6134 0.0748 0.8415 Ca
0.9252 0.3866 0.1585 Ca
0.0000 0.0000 0.0000 Mg
0.0968 0.0968 0.6186 B
0.2242 0.7758 0.5000 B
0.7758 0.2242 0.5000 B
0.9032 0.9032 0.3814 B
0.2134 0.2134 0.6991 H
0.3805 0.6067 0.7945 H
0.3933 0.6195 0.2055 H
0.6067 0.3805 0.7945 H
0.6195 0.3933 0.2055 H
0.7866 0.7866 0.3009 H
0.3050 0.3050 0.2487 C
0.6950 0.6950 0.7513 C
0.0802 0.8082 0.2798 O
0.1011 0.1011 0.3106 O
0.1540 0.4152 0.3509 O
0.1751 0.1751 0.8241 O
0.1918 0.9198 0.7202 O
0.2769 0.6347 0.6739 O
0.3434 0.3434 0.0353 O
0.3653 0.7231 0.3261 O
0.4152 0.1540 0.3509 O
0.5848 0.8460 0.6491 O
0.6347 0.2769 0.6739 O
0.6566 0.6566 0.9647 O
0.7231 0.3653 0.3261 O
0.8082 0.0802 0.2798 O
0.8249 0.8249 0.1759 O
0.8460 0.5848 0.6491 O
0.8989 0.8989 0.6894 O
0.9198 0.1918 0.7202 O
```

Largest 12 diffraction maxima, by intensity, 15° ≤ 2θ ≤ 90°:
2θ (°)	Rel. int.
32.83	1000
31.95	947
38.50	515
40.36	474
46.53	381
30.59	322
24.34	283
29.08	264
52.39	239
37.33	237
42.81	231
48.66	214



Q: What is the formula in the fifth record?
A: Ca5BC4Cl3